[1]
Starting from a GGA-PBE-relaxed structure, the powder X-ray diffraction pattern of CrTeHRhAu2 was calculated for Cu Kα, 1.54184 Å.
Peak positions follow from Bragg's law for the DFT cell and can differ from measured ones.

The 10 most intense peaks (15 to 90 degrees two-theta), low angle first:
2θ (°), I/Imax
27.86, 20
34.45, 100
38.11, 37
41.14, 98
47.04, 15
51.91, 17
66.19, 15
68.33, 14
75.19, 13
79.21, 13

Structure:
Cell: 4.839 4.839 7.084 Å, 119.18 119.18 42.69°
Fractional positions:
Cr: 0.000 0.000 0.000
Te: 0.435 0.435 0.647
H: 0.378 0.378 0.026
Rh: 0.200 0.200 0.770
Au: 0.589 0.589 0.372
Au: 0.776 0.776 0.158

[2]
Starting from a GGA-PBE-relaxed structure, the powder X-ray diffraction pattern of Gd3GeO8 was calculated for Cu Kα, 1.54184 Å.
Peak positions follow from Bragg's law for the DFT cell and can differ from measured ones.

The 10 most intense peaks (15 to 90 degrees two-theta), low angle first:
2θ (°), I/Imax
18.83, 44
23.97, 25
25.92, 70
26.62, 24
29.72, 48
30.52, 100
31.69, 24
32.34, 28
49.05, 39
53.17, 25

Structure:
Cell: 5.458 10.439 6.164 Å, 90.00 104.61 90.00°
Fractional positions:
Gd: 0.186 0.047 0.296
Gd: 0.186 0.453 0.296
Gd: 0.277 0.250 0.818
Gd: 0.723 0.750 0.182
Gd: 0.814 0.547 0.704
Gd: 0.814 0.953 0.704
Ge: 0.313 0.750 0.511
Ge: 0.687 0.250 0.489
O: 0.047 0.632 0.463
O: 0.047 0.868 0.463
O: 0.093 0.250 0.128
O: 0.192 0.027 0.932
O: 0.192 0.473 0.932
O: 0.484 0.750 0.803
O: 0.491 0.626 0.388
O: 0.491 0.874 0.388
O: 0.509 0.126 0.612
O: 0.509 0.374 0.612
O: 0.516 0.250 0.197
O: 0.808 0.527 0.068
O: 0.808 0.973 0.068
O: 0.907 0.750 0.872
O: 0.953 0.132 0.537
O: 0.953 0.368 0.537

[3]
Starting from a GGA-PBE-relaxed structure, the powder X-ray diffraction pattern of TbPm2Tm4Th was calculated for Cu Kα, 1.54184 Å.
Peak positions follow from Bragg's law for the DFT cell and can differ from measured ones.

The 10 most intense peaks (15 to 90 degrees two-theta), low angle first:
2θ (°), I/Imax
30.86, 100
35.49, 35
36.37, 16
51.07, 12
51.73, 24
60.80, 15
60.93, 15
62.05, 14
64.30, 12
83.38, 6

Structure:
Cell: 5.052 5.066 9.880 Å, 90.00 90.04 90.00°
Fractional positions:
Tb: 0.000 0.000 0.000
Pm: 0.000 0.000 0.500
Pm: 0.500 0.500 0.000
Tm: 0.000 0.500 0.253
Tm: 0.000 0.500 0.747
Tm: 0.500 0.000 0.253
Tm: 0.500 0.000 0.747
Th: 0.500 0.500 0.500

[4]
Starting from a GGA-PBE-relaxed structure, the powder X-ray diffraction pattern of LiV3Te was calculated for Cu Kα, 1.54184 Å.
Peak positions follow from Bragg's law for the DFT cell and can differ from measured ones.

The 10 most intense peaks (15 to 90 degrees two-theta), low angle first:
2θ (°), I/Imax
20.99, 19
29.85, 22
36.78, 100
42.73, 52
48.07, 9
53.00, 9
62.02, 32
74.33, 34
78.24, 11
85.93, 5

Structure:
Cell: 4.232 4.232 4.232 Å, 90.00 90.00 90.00°
Fractional positions:
Li: 0.000 0.000 0.000
V: 0.000 0.000 0.500
V: 0.000 0.500 0.000
V: 0.500 0.000 0.000
Te: 0.500 0.500 0.500

[5]
Starting from a GGA-PBE-relaxed structure, the powder X-ray diffraction pattern of PmPr6DyY2 was calculated for Cu Kα, 1.54184 Å.
Peak positions follow from Bragg's law for the DFT cell and can differ from measured ones.

The 10 most intense peaks (15 to 90 degrees two-theta), low angle first:
2θ (°), I/Imax
27.88, 44
29.58, 60
30.06, 66
30.52, 100
30.72, 42
31.53, 21
33.19, 33
33.80, 23
45.37, 16
58.33, 16

Structure:
Cell: 9.044 9.044 9.738 Å, 93.78 93.78 117.24°
Fractional positions:
Pm: 0.092 0.908 0.750
Pm: 0.908 0.092 0.250
Pr: 0.015 0.795 0.382
Pr: 0.065 0.511 0.187
Pr: 0.205 0.985 0.118
Pr: 0.262 0.611 0.557
Pr: 0.389 0.738 0.943
Pr: 0.489 0.935 0.313
Pr: 0.511 0.065 0.687
Pr: 0.611 0.262 0.057
Pr: 0.738 0.389 0.443
Pr: 0.795 0.015 0.882
Pr: 0.935 0.489 0.813
Pr: 0.985 0.205 0.618
Dy: 0.468 0.532 0.250
Dy: 0.532 0.468 0.750
Y: 0.209 0.302 0.952
Y: 0.302 0.209 0.452
Y: 0.698 0.791 0.548
Y: 0.791 0.698 0.048

[6]
Starting from a GGA-PBE-relaxed structure, the powder X-ray diffraction pattern of Ca2ZrSe4 was calculated for Cu Kα, 1.54184 Å.
Peak positions follow from Bragg's law for the DFT cell and can differ from measured ones.

The 10 most intense peaks (15 to 90 degrees two-theta), low angle first:
2θ (°), I/Imax
26.07, 70
28.95, 59
31.41, 85
32.77, 56
33.58, 92
35.94, 72
44.67, 100
51.61, 40
55.62, 32
70.59, 31

Structure:
Cell: 7.395 12.344 4.058 Å, 90.00 90.00 90.00°
Fractional positions:
Ca: 0.103 0.184 0.000
Ca: 0.397 0.684 0.000
Ca: 0.603 0.316 0.000
Ca: 0.897 0.816 0.000
Zr: 0.000 0.500 0.500
Zr: 0.500 0.000 0.500
Se: 0.115 0.707 0.500
Se: 0.241 0.455 0.000
Se: 0.259 0.955 0.000
Se: 0.385 0.207 0.500
Se: 0.615 0.793 0.500
Se: 0.741 0.045 0.000
Se: 0.759 0.545 0.000
Se: 0.885 0.293 0.500

[7]
Starting from a GGA-PBE-relaxed structure, the powder X-ray diffraction pattern of Sr2RuAu was calculated for Cu Kα, 1.54184 Å.
Peak positions follow from Bragg's law for the DFT cell and can differ from measured ones.

The 10 most intense peaks (15 to 90 degrees two-theta), low angle first:
2θ (°), I/Imax
16.19, 59
20.79, 51
28.54, 100
31.18, 62
36.95, 88
38.29, 48
38.81, 38
39.26, 37
50.96, 31
55.66, 32

Structure:
Cell: 4.589 5.945 5.945 Å, 45.94 90.00 90.00°
Fractional positions:
Sr: 0.000 0.000 0.000
Sr: 0.500 0.286 0.286
Ru: 0.500 0.593 0.593
Au: 0.000 0.702 0.702

[8]
Starting from a GGA-PBE-relaxed structure, the powder X-ray diffraction pattern of Rb2PdSe16 was calculated for Cu Kα, 1.54184 Å.
Peak positions follow from Bragg's law for the DFT cell and can differ from measured ones.

The 10 most intense peaks (15 to 90 degrees two-theta), low angle first:
2θ (°), I/Imax
15.84, 34
23.14, 19
25.15, 100
29.61, 26
30.36, 20
31.15, 41
35.64, 26
37.64, 22
48.29, 22
51.55, 20

Structure:
Cell: 12.956 12.956 7.067 Å, 90.00 90.00 90.00°
Fractional positions:
Rb: 0.000 0.000 0.000
Rb: 0.000 0.500 0.500
Rb: 0.500 0.000 0.500
Rb: 0.500 0.500 0.000
Pd: 0.000 0.000 0.500
Pd: 0.500 0.500 0.500
Se: 0.029 0.188 0.529
Se: 0.078 0.692 0.915
Se: 0.080 0.309 0.092
Se: 0.188 0.971 0.471
Se: 0.191 0.420 0.908
Se: 0.192 0.578 0.085
Se: 0.205 0.207 0.627
Se: 0.207 0.795 0.373
Se: 0.293 0.295 0.373
Se: 0.295 0.707 0.627
Se: 0.308 0.078 0.085
Se: 0.309 0.920 0.908
Se: 0.312 0.471 0.471
Se: 0.420 0.809 0.092
Se: 0.422 0.192 0.915
Se: 0.471 0.688 0.529
Se: 0.529 0.312 0.529
Se: 0.578 0.808 0.915
Se: 0.580 0.191 0.092
Se: 0.688 0.529 0.471
Se: 0.691 0.080 0.908
Se: 0.692 0.922 0.085
Se: 0.705 0.293 0.627
Se: 0.707 0.705 0.373
Se: 0.793 0.205 0.373
Se: 0.795 0.793 0.627
Se: 0.808 0.422 0.085
Se: 0.809 0.580 0.908
Se: 0.812 0.029 0.471
Se: 0.920 0.691 0.092
Se: 0.922 0.308 0.915
Se: 0.971 0.812 0.529